Record 1
Simulated XRD peak list
Compound: MgFe2B2O6
Radiation: λ = 1.5418 Å (Cu Kα)
Structure: a structure optimized by DFT (GGA+U)

Atomic structure:
```
data_MgFe2B2O6
_symmetry_space_group_name_H-M 'C 1 2 1'
_symmetry_Int_Tables_number 5
_cell_length_a 5.0503
_cell_length_b 8.9588
_cell_length_c 5.7939
_cell_angle_alpha 90.00
_cell_angle_beta 113.97
_cell_angle_gamma 90.00
loop_
_symmetry_equiv_pos_as_xyz
'x,y,z'
'-x,y,-z'
'x+1/2,y+1/2,z'
'-x+1/2,y+1/2,-z'
loop_
_atom_site_label
_atom_site_fract_x
_atom_site_fract_y
_atom_site_fract_z
Mg1 0.0000 0.0000 0.0000
Fe1 0.1479 0.3798 0.2905
B1 0.0000 0.1044 0.5000
B2 0.0000 0.7124 0.0000
O1 0.0000 0.2566 0.5000
O2 0.0000 0.5576 0.0000
O3 0.1354 0.0222 0.3749
O4 0.2157 0.7946 0.9687
```

Largest 12 diffraction maxima, in order of rising 2θ, 2θ from 5° to 70°:
2θ/deg, Rel. int., index
19.8, 100, 0 2 0
21.7, 41, 1 1 0
22.1, 37, 1 1 -1
32.1, 100, 1 1 1
33.0, 40, 1 1 -2
35.6, 37, 2 0 -1
35.8, 35, 1 3 0
36.1, 32, 1 3 -1
39.5, 33, 0 2 2
41.0, 46, 2 2 -1
43.9, 40, 1 3 -2
55.0, 33, 2 2 -3


Record 2
Simulated XRD peak list
Compound: MnCdF5
Radiation: λ = 1.5418 Å (Cu Kα)
Structure: a structure optimized by DFT (GGA+U)

Atomic structure:
```
data_MnCdF5
_symmetry_space_group_name_H-M 'P 1 21/c 1'
_symmetry_Int_Tables_number 14
_cell_length_a 8.0095
_cell_length_b 6.4093
_cell_length_c 9.0428
_cell_angle_alpha 90.00
_cell_angle_beta 115.82
_cell_angle_gamma 90.00
loop_
_symmetry_equiv_pos_as_xyz
'x,y,z'
'-x,-y,-z'
'-x,y+1/2,-z+1/2'
'x,-y+1/2,z+1/2'
loop_
_atom_site_label
_atom_site_fract_x
_atom_site_fract_y
_atom_site_fract_z
Mn1 0.0000 0.0000 0.0000
Mn2 0.5000 0.0000 0.0000
Cd1 0.2487 0.0416 0.4994
F1 0.0521 0.7049 0.0211
F2 0.1016 0.0307 0.2274
F3 0.2517 0.1060 0.0027
F4 0.3864 0.0106 0.7719
F5 0.4513 0.7032 0.9931
```

Largest 12 diffraction maxima, in order of rising 2θ, 2θ from 5° to 70°:
2θ/deg, Rel. int., index
17.6, 14, 0 1 1
21.8, 89, 0 0 2
26.2, 100, 2 1 -1
27.8, 36, 0 2 0
34.3, 17, 2 1 1
34.5, 15, 2 1 -3
44.5, 26, 0 0 4
45.3, 20, 4 0 -2
48.3, 22, 2 3 -1
52.2, 13, 2 1 3
52.6, 14, 2 1 -5
54.0, 14, 4 2 -2


Record 3
Simulated XRD peak list
Compound: MgV3CoSn2P6O24
Radiation: λ = 1.5418 Å (Cu Kα)
Structure: a structure optimized by DFT (GGA+U)

Atomic structure:
```
data_MgV3CoSn2P6O24
_symmetry_space_group_name_H-M 'P 1'
_symmetry_Int_Tables_number 1
_cell_length_a 8.4590
_cell_length_b 8.5852
_cell_length_c 9.1870
_cell_angle_alpha 62.19
_cell_angle_beta 62.82
_cell_angle_gamma 60.50
loop_
_symmetry_equiv_pos_as_xyz
'x,y,z'
loop_
_atom_site_label
_atom_site_fract_x
_atom_site_fract_y
_atom_site_fract_z
Mg1 0.0000 0.0000 0.0000
V1 0.1826 0.9127 0.2961
V2 0.4564 0.2364 0.4082
V3 0.6724 0.4256 0.7890
Co1 0.9916 0.7120 0.8714
Sn1 0.4621 0.0617 0.8173
Sn2 0.8402 0.5806 0.2932
P1 0.0746 0.1123 0.6027
P2 0.2839 0.6038 0.1051
P3 0.3670 0.5309 0.5976
P4 0.5685 0.0456 0.1056
P5 0.7868 0.8258 0.5895
P6 0.8543 0.3150 0.1060
O1 0.0433 0.1505 0.1297
O2 0.0748 0.9500 0.7788
O3 0.1126 0.0544 0.4541
O4 0.1130 0.5961 0.0835
O5 0.1902 0.5320 0.7530
O6 0.2166 0.8121 0.1006
O7 0.2400 0.1776 0.5617
O8 0.3011 0.4767 0.2868
O9 0.3367 0.6768 0.4266
O10 0.4435 0.9426 0.1393
O11 0.4513 0.3280 0.5755
O12 0.4662 0.5594 0.9609
O13 0.4895 0.1389 0.2416
O14 0.5213 0.5485 0.6281
O15 0.5783 0.1892 0.9198
O16 0.5947 0.9804 0.5542
O17 0.6891 0.2856 0.2726
O18 0.7779 0.8989 0.1053
O19 0.7863 0.6285 0.6489
O20 0.7889 0.8673 0.7395
O21 0.8353 0.2873 0.9585
O22 0.8559 0.5107 0.0664
O23 0.8867 0.2795 0.6257
O24 0.9495 0.8513 0.4226
```

Largest 12 diffraction maxima, in order of rising 2θ, 2θ from 5° to 70°:
2θ/deg, Rel. int., index
20.7, 100, 1 2 1
21.0, 28, 2 1 1
23.6, 30, 1 2 2
23.8, 37, 1 -1 1
23.9, 61, 2 1 0
24.5, 26, 2 0 1
25.1, 20, 0 2 0
31.0, 72, 1 2 3
31.2, 91, 1 -1 2
31.3, 22, 2 1 3
36.1, 23, 0 3 1
36.6, 25, 3 3 2


Record 4
Simulated XRD peak list
Compound: Li6Nb3Fe3O16
Radiation: λ = 1.5418 Å (Cu Kα)
Structure: a structure optimized by DFT (GGA+U)

Atomic structure:
```
data_Li6Nb3Fe3O16
_symmetry_space_group_name_H-M 'C 1 m 1'
_symmetry_Int_Tables_number 8
_cell_length_a 10.5165
_cell_length_b 6.1454
_cell_length_c 10.0950
_cell_angle_alpha 90.00
_cell_angle_beta 90.94
_cell_angle_gamma 90.00
loop_
_symmetry_equiv_pos_as_xyz
'x,y,z'
'x,-y,z'
'x+1/2,y+1/2,z'
'x+1/2,-y+1/2,z'
loop_
_atom_site_label
_atom_site_fract_x
_atom_site_fract_y
_atom_site_fract_z
Li1 0.0000 0.0000 0.0000
Li2 0.0038 0.0000 0.4958
Li3 0.1537 0.5000 0.4940
Li4 0.1661 0.5000 0.8846
Li5 0.3274 0.0000 0.3710
Li6 0.3314 0.0000 0.0014
Nb1 0.3165 0.5000 0.2141
Nb2 0.4085 0.2472 0.7089
Fe1 0.0736 0.2469 0.2122
Fe2 0.1598 0.0000 0.7151
O1 0.0138 0.5000 0.3055
O2 0.0691 0.2291 0.6075
O3 0.1446 0.0000 0.1187
O4 0.1783 0.5000 0.0859
O5 0.2322 0.2693 0.3163
O6 0.2557 0.2286 0.8177
O7 0.3346 0.0000 0.5946
O8 0.3394 0.5000 0.5996
O9 0.4249 0.2679 0.1061
O10 0.4836 0.0000 0.8164
O11 0.4861 0.5000 0.3171
O12 0.4889 0.5000 0.8180
```

Largest 12 diffraction maxima, in order of rising 2θ, 2θ from 5° to 70°:
2θ/deg, Rel. int., index
17.6, 100, 0 0 2
18.9, 22, 2 0 -1
19.0, 14, 1 1 1
19.2, 9, 2 0 1
34.2, 12, 3 1 -2
34.9, 15, 2 2 -1
35.1, 23, 4 0 -1
38.5, 10, 2 2 2
43.3, 22, 4 0 -3
43.6, 14, 2 2 3
57.1, 11, 4 0 -5
60.9, 12, 6 2 0


Record 5
Simulated XRD peak list
Compound: Mg6VBiO8
Radiation: λ = 1.5418 Å (Cu Kα)
Structure: a structure optimized by DFT (GGA+U)

Atomic structure:
```
data_Mg6VBiO8
_symmetry_space_group_name_H-M 'P 4/m m m'
_symmetry_Int_Tables_number 123
_symmetry_space_group_name_Hall '-P 4 2'
_cell_length_a 4.5511
_cell_length_b 4.5511
_cell_length_c 8.8293
_cell_angle_alpha 90.00
_cell_angle_beta 90.00
_cell_angle_gamma 90.00
loop_
_atom_site_label
_atom_site_fract_x
_atom_site_fract_y
_atom_site_fract_z
Mg1 0.0000 0.0000 0.0000
Mg2 0.0000 0.5000 0.2349
Mg3 0.5000 0.5000 0.0000
V1 0.0000 0.0000 0.5000
Bi1 0.5000 0.5000 0.5000
O1 0.0000 0.0000 0.2423
O2 0.0000 0.5000 0.0000
O3 0.0000 0.5000 0.5000
O4 0.5000 0.5000 0.2258
```

Largest 12 diffraction maxima, in order of rising 2θ, 2θ from 5° to 70°:
2θ/deg, Rel. int., index
10.0, 100, 0 0 1
19.5, 32, 1 0 0
20.1, 28, 0 0 2
22.0, 46, 1 0 1
27.7, 25, 1 1 0
28.2, 28, 1 0 2
29.5, 44, 1 1 1
34.5, 52, 1 1 2
39.6, 67, 2 0 0
40.9, 44, 0 0 4
45.7, 23, 2 1 1
58.2, 43, 2 0 4


Record 6
Simulated XRD peak list
Compound: Ba4MgMn4P8O28
Radiation: λ = 1.5418 Å (Cu Kα)
Structure: a structure optimized by DFT (GGA+U)

Atomic structure:
```
data_Ba4MgMn4P8O28
_symmetry_space_group_name_H-M 'P 1'
_symmetry_Int_Tables_number 1
_cell_length_a 5.7416
_cell_length_b 8.7533
_cell_length_c 13.2899
_cell_angle_alpha 88.47
_cell_angle_beta 89.18
_cell_angle_gamma 89.77
loop_
_symmetry_equiv_pos_as_xyz
'x,y,z'
loop_
_atom_site_label
_atom_site_fract_x
_atom_site_fract_y
_atom_site_fract_z
Ba1 0.0000 0.0000 0.0000
Ba2 0.0582 0.5014 0.9397
Ba3 0.5156 0.2112 0.5106
Ba4 0.5806 0.7209 0.4468
Mg1 0.0314 0.3052 0.1903
Mn1 0.1067 0.5240 0.6227
Mn2 0.4821 0.1999 0.8331
Mn3 0.6080 0.6862 0.1165
Mn4 0.9743 0.0292 0.3248
P1 0.0439 0.9120 0.5564
P2 0.0520 0.4151 0.4040
P3 0.1029 0.6742 0.2480
P4 0.4935 0.0395 0.2010
P5 0.5190 0.3005 0.0455
P6 0.5341 0.8057 0.8927
P7 0.5893 0.5591 0.7438
P8 0.9885 0.1629 0.7040
O1 0.0272 0.9886 0.6661
O2 0.0521 0.4964 0.2909
O3 0.1038 0.1624 0.8074
O4 0.1131 0.2492 0.3787
O5 0.1159 0.2712 0.6278
O6 0.2308 0.0093 0.2051
O7 0.2454 0.4883 0.4648
O8 0.2905 0.9396 0.5151
O9 0.2916 0.7731 0.9367
O10 0.3120 0.2363 0.9867
O11 0.3693 0.6852 0.2443
O12 0.4552 0.4511 0.8172
O13 0.4795 0.5617 0.6388
O14 0.4835 0.4695 0.0683
O15 0.5177 0.2166 0.1567
O16 0.5498 0.7328 0.7818
O17 0.5878 0.9752 0.8762
O18 0.6017 0.0419 0.3062
O19 0.6223 0.9362 0.1270
O20 0.7236 0.1905 0.7053
O21 0.7257 0.7294 0.9584
O22 0.7401 0.2651 0.9842
O23 0.8106 0.4401 0.4497
O24 0.8534 0.5293 0.7440
O25 0.8581 0.9889 0.4880
O26 0.9842 0.6750 0.1452
O27 0.9837 0.7433 0.5742
O28 0.9836 0.7759 0.3254
```

Largest 12 diffraction maxima, in order of rising 2θ, 2θ from 5° to 70°:
2θ/deg, Rel. int., index
13.3, 48, 0 0 2
25.2, 75, 1 0 3
25.6, 100, 1 2 0
27.4, 29, -1 1 3
27.7, 24, 1 1 -3
28.5, 26, 1 2 2
28.9, 29, -1 2 2
29.1, 23, 0 2 -3
29.3, 23, 1 2 -2
31.2, 61, 2 0 0
32.8, 21, 1 -1 4
42.3, 32, 2 2 3


Record 7
Simulated XRD peak list
Compound: MgV12B4O20
Radiation: λ = 1.5418 Å (Cu Kα)
Structure: a structure optimized by DFT (GGA+U)

Atomic structure:
```
data_MgV12B4O20
_symmetry_space_group_name_H-M 'P 1 m 1'
_symmetry_Int_Tables_number 6
_cell_length_a 9.6929
_cell_length_b 3.1620
_cell_length_c 13.0170
_cell_angle_alpha 90.00
_cell_angle_beta 91.32
_cell_angle_gamma 90.00
loop_
_symmetry_equiv_pos_as_xyz
'x,y,z'
'x,-y,z'
loop_
_atom_site_label
_atom_site_fract_x
_atom_site_fract_y
_atom_site_fract_z
Mg1 0.0000 0.0000 0.0000
V1 0.0408 0.5000 0.6408
V2 0.0432 0.5000 0.1787
V3 0.2808 0.0000 0.3135
V4 0.2892 0.5000 0.5312
V5 0.3047 0.0000 0.0363
V6 0.3101 0.0000 0.7472
V7 0.5331 0.5000 0.9127
V8 0.5390 0.5000 0.4263
V9 0.7551 0.5000 0.0486
V10 0.7731 0.0000 0.2669
V11 0.7895 0.0000 0.5370
V12 0.7924 0.0000 0.8049
B1 0.0070 0.5000 0.4001
B2 0.0882 0.5000 0.8738
B3 0.5056 0.5000 0.1820
B4 0.5701 0.5000 0.6713
O1 0.1488 0.5000 0.9743
O2 0.1506 0.5000 0.3919
O3 0.1563 0.5000 0.7860
O4 0.1746 0.0000 0.1673
O5 0.1876 0.0000 0.6085
O6 0.3929 0.0000 0.4558
O7 0.4053 0.0000 0.8942
O8 0.4261 0.5000 0.6720
O9 0.4313 0.5000 0.2718
O10 0.4434 0.5000 0.0839
O11 0.6389 0.5000 0.5797
O12 0.6430 0.5000 0.7664
O13 0.6501 0.5000 0.1884
O14 0.6668 0.0000 0.4015
O15 0.6860 0.0000 0.9529
O16 0.8846 0.0000 0.1197
O17 0.9112 0.0000 0.6746
O18 0.9248 0.5000 0.3097
O19 0.9416 0.5000 0.4933
O20 0.9418 0.5000 0.8848
```

Largest 12 diffraction maxima, in order of rising 2θ, 2θ from 5° to 70°:
2θ/deg, Rel. int., index
16.2, 23, 1 0 -2
16.6, 24, 1 0 2
32.8, 65, 2 0 -4
33.5, 63, 2 0 4
33.9, 100, 2 1 0
36.5, 26, 1 1 3
39.7, 37, 2 0 5
42.5, 32, 3 1 2
44.9, 28, 3 1 -3
55.0, 25, 4 1 -4
58.2, 27, 1 1 -7
58.4, 35, 0 2 0


Record 8
Simulated XRD peak list
Compound: FeOF
Radiation: λ = 1.5418 Å (Cu Kα)
Structure: a structure optimized by DFT (GGA+U)

Atomic structure:
```
data_FeOF
_symmetry_space_group_name_H-M 'P 1 m 1'
_symmetry_Int_Tables_number 6
_cell_length_a 14.1893
_cell_length_b 3.0963
_cell_length_c 14.2414
_cell_angle_alpha 90.00
_cell_angle_beta 90.02
_cell_angle_gamma 90.00
loop_
_symmetry_equiv_pos_as_xyz
'x,y,z'
'x,-y,z'
loop_
_atom_site_label
_atom_site_fract_x
_atom_site_fract_y
_atom_site_fract_z
Fe1 0.0000 0.0000 0.0000
Fe2 0.0002 0.0000 0.3462
Fe3 0.1667 0.5000 0.4873
Fe4 0.1706 0.5000 0.8532
Fe5 0.1859 0.5000 0.1744
Fe6 0.3250 0.0000 0.0054
Fe7 0.3263 0.0000 0.3412
Fe8 0.3376 0.0000 0.6708
Fe9 0.5176 0.5000 0.1720
Fe10 0.5208 0.5000 0.5035
Fe11 0.5235 0.5000 0.8448
Fe12 0.6593 0.0000 0.6725
Fe13 0.6611 0.0000 0.3378
Fe14 0.6659 0.0000 0.0122
Fe15 0.8377 0.5000 0.1530
Fe16 0.8516 0.5000 0.8397
Fe17 0.8531 0.5000 0.5052
Fe18 0.9934 0.0000 0.6727
O1 0.0684 0.5000 0.9423
O2 0.1052 0.0000 0.4363
O3 0.2368 0.0000 0.2387
O4 0.2399 0.0000 0.8974
O5 0.2740 0.5000 0.0680
O6 0.2769 0.5000 0.4065
O7 0.5694 0.0000 0.2357
O8 0.5694 0.0000 0.5677
O9 0.5737 0.0000 0.9050
O10 0.6051 0.5000 0.0683
O11 0.6056 0.5000 0.7345
O12 0.6091 0.5000 0.4003
O13 0.7731 0.0000 0.1039
O14 0.8998 0.0000 0.9030
O15 0.9056 0.0000 0.5671
O16 0.9371 0.5000 0.3972
O17 0.9418 0.5000 0.7347
O18 0.9449 0.5000 0.0695
F1 0.0683 0.5000 0.2682
F2 0.0762 0.5000 0.6066
F3 0.1086 0.0000 0.1117
F4 0.1091 0.0000 0.7690
F5 0.2352 0.0000 0.5696
F6 0.2676 0.5000 0.7348
F7 0.4045 0.5000 0.2711
F8 0.4038 0.5000 0.5999
F9 0.4057 0.5000 0.9377
F10 0.4381 0.0000 0.1053
F11 0.4380 0.0000 0.7738
F12 0.4410 0.0000 0.4370
F13 0.7358 0.5000 0.9343
F14 0.7372 0.5000 0.6041
F15 0.7422 0.5000 0.2737
F16 0.7721 0.0000 0.7683
F17 0.7731 0.0000 0.4389
F18 0.9031 0.0000 0.2343
```

Largest 12 diffraction maxima, in order of rising 2θ, 2θ from 5° to 70°:
2θ/deg, Rel. int., index
26.6, 100, 3 0 -3
34.6, 55, 0 1 3
37.9, 4, 0 0 6
38.1, 3, 6 0 0
39.6, 19, 3 1 -3
42.7, 7, 6 0 -3
52.3, 58, 3 1 -6
54.8, 16, 6 0 -6
59.7, 10, 0 2 0
61.8, 4, 3 0 -9
66.3, 10, 0 1 9
66.5, 21, 9 1 0